Diffraction record for NaCu2AsS4. The X-ray diffraction stick pattern is simulated, not measured: it uses a crystal structure in Alexandria, relaxed with PBE and Cu Kα X-rays.

Crystal structure
```
data_NaCu2AsS4
_chemical_formula_sum 'Na4 Cu8 As4 S16'
_space_group_name_H-M_alt 'F m m 2'
_space_group_IT_number 42
_space_group_name_Hall 'F 2 -2'
_cell_length_a 8.234
_cell_length_b 8.240
_cell_length_c 9.727
_cell_angle_alpha 90.00
_cell_angle_beta 90.00
_cell_angle_gamma 90.00
loop_
_atom_site_label
_atom_site_fract_x
_atom_site_fract_y
_atom_site_fract_z
Na1 0.000 0.000 0.000
Cu1 0.250 0.250 0.250
As1 0.000 0.000 0.501
S1 0.000 0.216 0.360
S2 0.216 0.000 0.642
```

Most intense lines, 2θ = 15–90°, most intense first:
| index | Position (°2θ) | I/Imax |
| --- | --- | --- |
| 2 0 2 | 28.40 | 100.0 |
| 2 2 4 | 48.79 | 35.0 |
| 4 2 2 | 53.18 | 30.6 |
| 4 0 0 | 43.97 | 24.0 |
| 1 1 1 | 17.75 | 22.4 |
| 6 2 4 | 84.36 | 10.5 |
| 0 2 6 | 61.46 | 9.7 |
| 0 0 8 | 78.63 | 9.6 |
| 2 2 0 | 30.70 | 7.8 |
| 4 4 0 | 63.94 | 6.4 |

Diffraction record for AlCu5Si. The X-ray diffraction stick pattern is simulated, not measured: it uses a crystal structure in Alexandria, relaxed with PBE and Cu Kα X-rays.

Crystal structure
```
data_AlCu5Si
_chemical_formula_sum 'Al4 Cu20 Si4'
_space_group_name_H-M_alt 'C m c m'
_space_group_IT_number 63
_space_group_name_Hall '-C 2c 2'
_cell_length_a 6.795
_cell_length_b 5.464
_cell_length_c 9.685
_cell_angle_alpha 90.00
_cell_angle_beta 90.00
_cell_angle_gamma 90.00
loop_
_atom_site_label
_atom_site_fract_x
_atom_site_fract_y
_atom_site_fract_z
Al1 0.000 0.143 0.250
Cu1 0.000 0.422 0.750
Cu2 0.205 0.141 0.610
Si1 0.000 0.500 0.000
```

Most intense lines, 2θ = 15–90°, most intense first:
| index | Position (°2θ) | I/Imax |
| --- | --- | --- |
| 2 2 1 | 43.52 | 100.0 |
| 0 2 3 | 43.39 | 98.9 |
| 2 0 4 | 46.03 | 93.4 |
| 3 1 0 | 43.24 | 40.1 |
| 2 0 2 | 32.18 | 28.0 |
| 1 1 4 | 42.97 | 27.4 |
| 1 1 1 | 22.81 | 25.4 |
| 3 1 3 | 52.09 | 24.9 |
| 2 2 7 | 83.29 | 24.0 |
| 2 0 0 | 26.23 | 22.2 |

Diffraction record for Ho5HfZn4. The X-ray diffraction stick pattern is simulated, not measured: it uses a crystal structure in Alexandria, relaxed with PBE and Cu Kα X-rays.

Crystal structure
```
data_Ho5HfZn4
_chemical_formula_sum 'Ho5 Hf1 Zn4'
_space_group_name_H-M_alt 'P 4/m m m'
_space_group_IT_number 123
_space_group_name_Hall '-P 4 2'
_cell_length_a 3.475
_cell_length_b 3.475
_cell_length_c 19.192
_cell_angle_alpha 90.00
_cell_angle_beta 90.00
_cell_angle_gamma 90.00
loop_
_atom_site_label
_atom_site_fract_x
_atom_site_fract_y
_atom_site_fract_z
Ho1 0.000 0.000 0.000
Ho2 0.000 0.000 0.189
Ho3 0.000 0.000 0.384
Hf1 0.500 0.500 0.500
Zn1 0.500 0.500 0.095
Zn2 0.500 0.500 0.285
```

Most intense lines, 2θ = 15–90°, most intense first:
| index | Position (°2θ) | I/Imax |
| --- | --- | --- |
| 1 0 5 | 34.83 | 100.0 |
| 1 1 0 | 36.57 | 49.7 |
| 2 1 5 | 64.71 | 32.7 |
| 2 0 0 | 52.68 | 17.4 |
| 1 1 10 | 61.29 | 12.9 |
| 1 0 0 | 25.64 | 9.4 |
| 1 0 4 | 31.80 | 8.2 |
| 3 1 0 | 89.10 | 8.0 |
| 2 0 10 | 73.53 | 7.5 |
| 3 0 5 | 88.08 | 7.2 |

Diffraction record for CoTcP2. The X-ray diffraction stick pattern is simulated, not measured: it uses a crystal structure in Alexandria, relaxed with PBE and Cu Kα X-rays.

Crystal structure
```
data_CoTcP2
_chemical_formula_sum 'Co1 Tc1 P2'
_space_group_name_H-M_alt 'P m m 2'
_space_group_IT_number 25
_space_group_name_Hall 'P 2 -2'
_cell_length_a 2.927
_cell_length_b 4.324
_cell_length_c 3.935
_cell_angle_alpha 90.00
_cell_angle_beta 90.00
_cell_angle_gamma 90.00
loop_
_atom_site_label
_atom_site_fract_x
_atom_site_fract_y
_atom_site_fract_z
Co1 0.000 0.000 0.000
Tc1 0.500 0.500 0.276
P1 0.000 0.500 0.779
P2 0.500 0.000 0.537
```

Most intense lines, 2θ = 15–90°, most intense first:
| index | Position (°2θ) | I/Imax |
| --- | --- | --- |
| 1 1 1 | 43.87 | 100.0 |
| 1 0 1 | 38.33 | 88.5 |
| 0 1 2 | 50.99 | 65.2 |
| 0 2 0 | 41.78 | 61.6 |
| 1 2 1 | 57.98 | 49.9 |
| 0 1 1 | 30.72 | 44.4 |
| 1 1 0 | 37.09 | 36.5 |
| 2 1 2 | 85.73 | 28.3 |
| 0 0 1 | 22.59 | 26.2 |
| 1 1 3 | 83.86 | 18.9 |

Diffraction record for Tm4Al16Pt3. The X-ray diffraction stick pattern is simulated, not measured: it uses a crystal structure in Alexandria, relaxed with PBE and Cu Kα X-rays.

Crystal structure
```
data_Tm4Al16Pt3
_chemical_formula_sum 'Tm4 Al16 Pt3'
_space_group_name_H-M_alt 'P 4/m m m'
_space_group_IT_number 123
_space_group_name_Hall '-P 4 2'
_cell_length_a 6.156
_cell_length_b 6.156
_cell_length_c 11.120
_cell_angle_alpha 90.00
_cell_angle_beta 90.00
_cell_angle_gamma 90.00
loop_
_atom_site_label
_atom_site_fract_x
_atom_site_fract_y
_atom_site_fract_z
Tm1 0.000 0.500 0.189
Al1 0.000 0.000 0.198
Al2 0.213 0.213 0.000
Al3 0.245 0.245 0.375
Al4 0.500 0.500 0.227
Pt1 0.000 0.500 0.500
Pt2 0.500 0.500 0.000
```

Most intense lines, 2θ = 15–90°, most intense first:
| index | Position (°2θ) | I/Imax |
| --- | --- | --- |
| 1 1 3 | 31.71 | 100.0 |
| 1 1 0 | 20.40 | 65.0 |
| 2 0 3 | 38.00 | 61.1 |
| 2 0 0 | 29.01 | 53.6 |
| 2 2 0 | 41.49 | 52.3 |
| 3 1 3 | 53.14 | 45.9 |
| 1 1 1 | 21.93 | 25.1 |
| 2 0 4 | 43.89 | 20.0 |
| 4 0 0 | 60.13 | 18.2 |
| 4 2 3 | 73.38 | 16.6 |

Diffraction record for ZnGa2Ag4. The X-ray diffraction stick pattern is simulated, not measured: it uses a crystal structure in Alexandria, relaxed with PBE and Cu Kα X-rays.

Crystal structure
```
data_ZnGa2Ag4
_chemical_formula_sum 'Zn4 Ga8 Ag16'
_space_group_name_H-M_alt 'C m c m'
_space_group_IT_number 63
_space_group_name_Hall '-C 2c 2'
_cell_length_a 4.518
_cell_length_b 7.825
_cell_length_c 13.961
_cell_angle_alpha 90.00
_cell_angle_beta 90.00
_cell_angle_gamma 90.00
loop_
_atom_site_label
_atom_site_fract_x
_atom_site_fract_y
_atom_site_fract_z
Zn1 0.000 0.002 0.250
Ga1 0.000 0.334 0.059
Ag1 0.000 0.000 0.000
Ag2 0.000 0.332 0.646
Ag3 0.000 0.336 0.250
```

Most intense lines, 2θ = 15–90°, most intense first:
| index | Position (°2θ) | I/Imax |
| --- | --- | --- |
| 2 0 0 | 39.91 | 100.0 |
| 1 1 5 | 39.66 | 77.5 |
| 0 2 4 | 34.43 | 32.8 |
| 0 4 5 | 57.52 | 24.8 |
| 2 4 5 | 72.30 | 24.4 |
| 3 3 0 | 72.47 | 15.9 |
| 4 0 0 | 86.09 | 10.1 |
| 2 0 10 | 80.95 | 9.1 |
| 2 2 4 | 53.71 | 8.7 |
| 1 5 4 | 68.97 | 7.9 |

Diffraction record for Ho3Tm2Se6. The X-ray diffraction stick pattern is simulated, not measured: it uses a crystal structure in Alexandria, relaxed with PBE and Cu Kα X-rays.

Crystal structure
```
data_Ho3Tm2Se6
_chemical_formula_sum 'Ho9 Tm6 Se18'
_space_group_name_H-M_alt 'R -3 m'
_space_group_IT_number 166
_space_group_name_Hall '-R 3 2"'
_cell_length_a 4.0686
_cell_length_b 4.0686
_cell_length_c 60.4271
_cell_angle_alpha 90.00
_cell_angle_beta 90.00
_cell_angle_gamma 120.00
loop_
_atom_site_label
_atom_site_fract_x
_atom_site_fract_y
_atom_site_fract_z
Ho1 0.0000 0.0000 0.0000
Ho2 0.0000 0.0000 0.2798
Tm1 0.0000 0.0000 0.4460
Se1 0.0000 0.0000 0.0822
Se2 0.0000 0.0000 0.1978
Se3 0.0000 0.0000 0.3605
```

Most intense lines, 2θ = 15–90°, most intense first:
| index | Position (°2θ) | I/Imax |
| --- | --- | --- |
| 0 1 11 | 30.13 | 100.0 |
| 1 1 0 | 44.54 | 49.0 |
| 1 0 25 | 45.51 | 36.7 |
| 0 1 14 | 32.81 | 35.3 |
| 1 1 36 | 73.10 | 34.8 |
| 0 0 36 | 54.71 | 26.2 |
| 2 1 25 | 82.74 | 12.9 |
| 0 2 25 | 65.57 | 11.9 |
| 1 0 22 | 41.69 | 11.7 |
| 1 0 4 | 25.97 | 10.1 |

Diffraction record for RbLaHo4Se8. The X-ray diffraction stick pattern is simulated, not measured: it uses a crystal structure in Alexandria, relaxed with PBE and Cu Kα X-rays.

Crystal structure
```
data_RbLaHo4Se8
_chemical_formula_sum 'Rb3 La3 Ho12 Se24'
_space_group_name_H-M_alt 'R 3 m'
_space_group_IT_number 160
_space_group_name_Hall 'R 3 -2"'
_cell_length_a 8.5694
_cell_length_b 8.5694
_cell_length_c 21.8479
_cell_angle_alpha 90.00
_cell_angle_beta 90.00
_cell_angle_gamma 120.00
loop_
_atom_site_label
_atom_site_fract_x
_atom_site_fract_y
_atom_site_fract_z
Rb1 0.0000 0.0000 0.0000
La1 0.0000 0.0000 0.3634
Ho1 0.0000 0.0000 0.7423
Ho2 0.0114 0.5057 0.8699
Se1 0.0000 0.0000 0.1383
Se2 0.0000 0.0000 0.6114
Se3 0.0127 0.5063 0.1232
Se4 0.1863 0.3727 0.9407
```

Most intense lines, 2θ = 15–90°, most intense first:
| index | Position (°2θ) | I/Imax |
| --- | --- | --- |
| 0 2 4 | 29.09 | 100.0 |
| 2 2 0 | 42.18 | 81.3 |
| 2 0 8 | 41.04 | 81.2 |
| 1 1 3 | 24.10 | 73.2 |
| 0 2 1 | 24.33 | 38.5 |
| 1 2 5 | 38.12 | 35.3 |
| 0 2 7 | 37.66 | 33.6 |
| 0 1 5 | 23.63 | 32.7 |
| 0 3 3 | 38.43 | 24.9 |
| 0 4 8 | 60.31 | 24.1 |

Diffraction record for SiB3. The X-ray diffraction stick pattern is simulated, not measured: it uses a crystal structure in Alexandria, relaxed with PBE and Cu Kα X-rays.

Crystal structure
```
data_SiB3
_chemical_formula_sum 'Si16 B48'
_space_group_name_H-M_alt 'I m m a'
_space_group_IT_number 74
_space_group_name_Hall '-I 2b 2'
_cell_length_a 8.371
_cell_length_b 12.591
_cell_length_c 6.226
_cell_angle_alpha 90.00
_cell_angle_beta 90.00
_cell_angle_gamma 90.00
loop_
_atom_site_label
_atom_site_fract_x
_atom_site_fract_y
_atom_site_fract_z
Si1 0.000 0.154 0.002
Si2 0.231 0.250 0.564
B1 0.000 0.069 0.728
B2 0.000 0.074 0.276
B3 0.111 0.112 0.503
B4 0.175 0.002 0.345
```

Most intense lines, 2θ = 15–90°, most intense first:
| index | Position (°2θ) | I/Imax |
| --- | --- | --- |
| 2 4 0 | 35.69 | 100.0 |
| 3 0 1 | 35.25 | 67.9 |
| 0 2 2 | 32.08 | 61.6 |
| 1 2 1 | 22.72 | 42.4 |
| 0 0 2 | 28.68 | 41.4 |
| 2 6 2 | 57.35 | 38.7 |
| 2 4 2 | 46.40 | 30.9 |
| 2 2 0 | 25.57 | 29.6 |
| 0 1 1 | 15.88 | 24.3 |
| 5 4 1 | 64.83 | 22.1 |

Diffraction record for CaPm3Nd8. The X-ray diffraction stick pattern is simulated, not measured: it uses a crystal structure in Alexandria, relaxed with PBE and Cu Kα X-rays.

Crystal structure
```
data_CaPm3Nd8
_chemical_formula_sum 'Ca2 Pm6 Nd16'
_space_group_name_H-M_alt 'C 1 m 1'
_space_group_IT_number 8
_space_group_name_Hall 'C -2y'
_cell_length_a 18.697
_cell_length_b 3.569
_cell_length_c 13.331
_cell_angle_alpha 90.00
_cell_angle_beta 104.39
_cell_angle_gamma 90.00
loop_
_atom_site_label
_atom_site_fract_x
_atom_site_fract_y
_atom_site_fract_z
Ca1 0.000 0.000 0.000
Pm1 0.138 0.500 0.648
Pm2 0.327 0.500 0.095
Pm3 0.470 0.000 0.736
Nd1 0.148 0.000 0.410
Nd2 0.160 0.500 0.912
Nd3 0.162 0.500 0.177
Nd4 0.311 0.500 0.566
Nd5 0.316 0.500 0.823
Nd6 0.321 0.000 0.331
Nd7 0.481 0.500 0.492
Nd8 0.489 0.000 0.254
```

Most intense lines, 2θ = 15–90°, most intense first:
| index | Position (°2θ) | I/Imax |
| --- | --- | --- |
| 6 0 0 | 29.60 | 100.0 |
| 4 0 -4 | 29.73 | 57.2 |
| 2 0 4 | 31.65 | 44.6 |
| 4 2 -4 | 60.30 | 34.3 |
| 5 1 -2 | 35.63 | 29.4 |
| 1 1 3 | 33.77 | 26.0 |
| 5 1 -1 | 34.76 | 20.0 |
| 2 2 4 | 61.45 | 18.9 |
| 1 1 0 | 25.44 | 16.6 |
| 1 1 1 | 26.70 | 15.3 |

Diffraction record for SrLi12Pt4. The X-ray diffraction stick pattern is simulated, not measured: it uses a crystal structure in Alexandria, relaxed with PBE and Cu Kα X-rays.

Crystal structure
```
data_SrLi12Pt4
_chemical_formula_sum 'Sr2 Li24 Pt8'
_space_group_name_H-M_alt 'I m -3'
_space_group_IT_number 204
_space_group_name_Hall '-I 2 2 3'
_cell_length_a 8.864
_cell_length_b 8.864
_cell_length_c 8.864
_cell_angle_alpha 90.00
_cell_angle_beta 90.00
_cell_angle_gamma 90.00
loop_
_atom_site_label
_atom_site_fract_x
_atom_site_fract_y
_atom_site_fract_z
Sr1 0.000 0.000 0.000
Li1 0.000 0.181 0.345
Pt1 0.250 0.250 0.250
```

Most intense lines, 2θ = 15–90°, most intense first:
| index | Position (°2θ) | I/Imax |
| --- | --- | --- |
| 2 2 0 | 28.48 | 100.0 |
| 2 0 0 | 20.03 | 76.3 |
| 4 2 2 | 50.44 | 45.3 |
| 4 2 0 | 45.78 | 38.2 |
| 2 2 2 | 35.07 | 24.3 |
| 6 2 4 | 81.21 | 21.8 |
| 4 0 0 | 40.72 | 20.2 |
| 6 2 0 | 66.74 | 19.0 |
| 4 4 2 | 62.91 | 16.9 |
| 4 4 0 | 58.94 | 13.3 |

Diffraction record for Ba2AcP2Cl2. The X-ray diffraction stick pattern is simulated, not measured: it uses a crystal structure in Alexandria, relaxed with PBE and Cu Kα X-rays.

Crystal structure
```
data_Ba2AcP2Cl2
_chemical_formula_sum 'Ba4 Ac2 P4 Cl4'
_space_group_name_H-M_alt 'I 4/m m m'
_space_group_IT_number 139
_space_group_name_Hall '-I 4 2'
_cell_length_a 5.732
_cell_length_b 5.732
_cell_length_c 15.987
_cell_angle_alpha 90.00
_cell_angle_beta 90.00
_cell_angle_gamma 90.00
loop_
_atom_site_label
_atom_site_fract_x
_atom_site_fract_y
_atom_site_fract_z
Ba1 0.000 0.000 0.120
Ac1 0.000 0.000 0.500
P1 0.000 0.500 0.000
Cl1 0.000 0.000 0.311
```

Most intense lines, 2θ = 15–90°, most intense first:
| index | Position (°2θ) | I/Imax |
| --- | --- | --- |
| 1 1 0 | 21.93 | 100.0 |
| 1 0 5 | 32.05 | 79.5 |
| 1 0 3 | 22.78 | 75.4 |
| 2 1 5 | 45.35 | 66.5 |
| 2 0 0 | 31.21 | 65.1 |
| 2 1 3 | 38.99 | 39.5 |
| 3 0 5 | 56.09 | 30.2 |
| 3 2 5 | 65.59 | 29.0 |
| 2 2 0 | 44.72 | 23.5 |
| 3 1 0 | 50.34 | 21.6 |